(1)
# Cr4CdAgSe8
Simulated XRD peak list, Cu Ka. Input: a crystal structure in the Materials Project, relaxed with PBE.
Neutral-atom scattering factors, no anomalous dispersion.

Principal peaks in the range 2θ from 5° to 70°, most intense first:
d [Å], 2theta, I (rel.)
1.913, 47.52, 1000
2.083, 43.45, 581
3.263, 27.33, 548
2.706, 33.11, 490
3.827, 23.25, 451
3.124, 28.57, 426

Cell and atoms:
a b c (Å): 7.653 7.653 7.653
angles (deg): 60.00 60.00 60.00
Atoms (fractional coordinates):
Cr 0.377 0.377 0.377
Cr 0.377 0.377 0.870
Cr 0.377 0.870 0.377
Cr 0.870 0.377 0.377
Cd 0.000 0.000 0.000
Ag 0.750 0.750 0.750
Se 0.141 0.141 0.141
Se 0.141 0.141 0.578
Se 0.141 0.578 0.141
Se 0.168 0.611 0.611
Se 0.578 0.141 0.141
Se 0.611 0.168 0.611
Se 0.611 0.611 0.168
Se 0.611 0.611 0.611

(2)
# SrNd3
Simulated XRD peak list, Cu Ka. Input: a crystal structure in the Materials Project, relaxed with PBE.
Neutral-atom scattering factors, no anomalous dispersion.

Principal peaks in the range 2θ from 5° to 70°, most intense first:
d [Å], 2theta, I (rel.)
2.913, 30.70, 1000
3.041, 29.37, 252
3.318, 26.87, 235
1.621, 56.80, 227
1.730, 52.92, 216
1.915, 47.47, 194

Cell and atoms:
a b c (Å): 7.661 7.661 6.083
angles (deg): 90.00 90.00 120.00
Atoms (fractional coordinates):
Sr 0.333 0.667 0.250
Sr 0.667 0.333 0.750
Nd 0.160 0.320 0.750
Nd 0.160 0.840 0.750
Nd 0.320 0.160 0.250
Nd 0.680 0.840 0.750
Nd 0.840 0.160 0.250
Nd 0.840 0.680 0.250

(3)
# K2LiNdI6
Simulated XRD peak list, Cu Ka. Input: a crystal structure in the Materials Project, relaxed with PBE.
Neutral-atom scattering factors, no anomalous dispersion.

Principal peaks in the range 2θ from 5° to 70°, most intense first:
d [Å], 2theta, I (rel.)
3.029, 29.49, 1000
3.497, 25.47, 948
2.142, 42.20, 736
6.057, 14.62, 555
1.826, 49.94, 422
1.354, 69.39, 323

Cell and atoms:
a b c (Å): 8.566 8.566 8.566
angles (deg): 60.00 60.00 60.00
Atoms (fractional coordinates):
K 0.250 0.250 0.250
K 0.750 0.750 0.750
Li 0.000 0.000 0.000
Nd 0.500 0.500 0.500
I 0.244 0.244 0.756
I 0.244 0.756 0.244
I 0.244 0.756 0.756
I 0.756 0.244 0.244
I 0.756 0.244 0.756
I 0.756 0.756 0.244

(4)
# ErH4I3O11
Simulated XRD peak list, Cu Ka. Input: a crystal structure in the Materials Project, relaxed with PBE.
Neutral-atom scattering factors, no anomalous dispersion.

Principal peaks in the range 2θ from 5° to 70°, most intense first:
d [Å], 2theta, I (rel.)
5.427, 16.33, 1000
3.100, 28.80, 807
3.241, 27.52, 758
3.317, 26.88, 706
3.176, 28.10, 622
3.506, 25.41, 568

Cell and atoms:
a b c (Å): 7.374 7.599 9.442
angles (deg): 80.18 85.26 72.06
Atoms (fractional coordinates):
Er 0.230 0.162 0.172
Er 0.770 0.838 0.828
H 0.018 0.568 0.132
H 0.193 0.545 0.233
H 0.310 0.298 0.447
H 0.329 0.081 0.473
H 0.671 0.919 0.527
H 0.690 0.702 0.553
H 0.807 0.455 0.767
H 0.982 0.432 0.868
I 0.168 0.761 0.481
I 0.236 0.899 0.866
I 0.402 0.337 0.800
I 0.598 0.663 0.200
I 0.764 0.101 0.134
I 0.832 0.239 0.519
O 0.077 0.975 0.347
O 0.104 0.730 0.861
O 0.135 0.479 0.175
O 0.197 0.924 0.058
O 0.214 0.282 0.928
O 0.255 0.427 0.644
O 0.271 0.202 0.411
O 0.317 0.610 0.355
O 0.340 0.831 0.568
O 0.480 0.739 0.884
O 0.497 0.908 0.231
O 0.503 0.092 0.769
O 0.520 0.261 0.116
O 0.660 0.169 0.432
O 0.683 0.390 0.645
O 0.729 0.798 0.589
O 0.745 0.573 0.356
O 0.786 0.718 0.072
O 0.803 0.076 0.942
O 0.865 0.521 0.825
O 0.896 0.270 0.139
O 0.923 0.025 0.653

(5)
# Na4Cd2Si3O10
Simulated XRD peak list, Cu Ka. Input: a crystal structure in the Materials Project, relaxed with PBE.
Neutral-atom scattering factors, no anomalous dispersion.

Principal peaks in the range 2θ from 5° to 70°, most intense first:
d [Å], 2theta, I (rel.)
2.914, 30.68, 1000
2.940, 30.40, 979
2.646, 33.88, 970
4.581, 19.37, 681
4.027, 22.07, 578
2.626, 34.15, 522

Cell and atoms:
a b c (Å): 5.829 5.829 17.906
angles (deg): 98.46 98.46 61.08
Atoms (fractional coordinates):
Na 0.068 0.279 0.244
Na 0.183 0.325 0.560
Na 0.279 0.068 0.744
Na 0.325 0.183 0.060
Na 0.675 0.817 0.940
Na 0.721 0.932 0.256
Na 0.817 0.675 0.440
Na 0.932 0.721 0.756
Cd 0.304 0.500 0.915
Cd 0.500 0.304 0.415
Cd 0.500 0.696 0.585
Cd 0.696 0.500 0.085
Si 0.040 0.830 0.102
Si 0.170 0.960 0.398
Si 0.381 0.619 0.250
Si 0.619 0.381 0.750
Si 0.830 0.040 0.602
Si 0.960 0.170 0.898
O 0.041 0.113 0.115
O 0.113 0.041 0.615
O 0.115 0.705 0.187
O 0.146 0.249 0.427
O 0.249 0.146 0.927
O 0.270 0.608 0.048
O 0.295 0.885 0.313
O 0.365 0.416 0.787
O 0.392 0.730 0.452
O 0.416 0.365 0.287
O 0.584 0.635 0.713
O 0.608 0.270 0.548
O 0.635 0.584 0.213
O 0.705 0.115 0.687
O 0.730 0.392 0.952
O 0.751 0.854 0.073
O 0.854 0.751 0.573
O 0.885 0.295 0.813
O 0.887 0.959 0.385
O 0.959 0.887 0.885

(6)
# UFe2B6
Simulated XRD peak list, Cu Ka. Input: a crystal structure in the Materials Project, relaxed with PBE.
Neutral-atom scattering factors, no anomalous dispersion.

Principal peaks in the range 2θ from 5° to 70°, most intense first:
d [Å], 2theta, I (rel.)
2.293, 39.29, 1000
2.101, 43.05, 983
2.493, 36.02, 936
2.905, 30.78, 912
4.886, 18.15, 889
3.042, 29.36, 680

Cell and atoms:
a b c (Å): 5.336 5.336 5.336
angles (deg): 146.16 110.48 79.60
Atoms (fractional coordinates):
U 0.000 0.000 0.000
Fe 0.348 0.848 0.500
Fe 0.652 0.152 0.500
B 0.065 0.304 0.761
B 0.354 0.500 0.854
B 0.457 0.696 0.761
B 0.543 0.304 0.239
B 0.646 0.500 0.146
B 0.935 0.696 0.239